# 1
For NdErGeI2, a GGA-PBE-relaxed structure gives the simulated X-ray powder pattern in this record (Cu Kα, 1.54184 Å).

Most intense lines, 10° ≤ 2θ ≤ 90°, sorted by position:
d/Å  2θ (°)  I_rel
3.324  26.82  48
3.296  27.05  57
3.231  27.61  74
2.877  31.08  62
2.848  31.41  54
2.781  32.18  38
2.224  40.56  32
2.174  41.53  32
2.153  41.97  31
2.145  42.13  100

Structural model:
Cell: 4.292 4.292 11.889 Å, 80.29 88.45 60.00°
Sites, in units of the cell vectors:
Nd1 0.000 0.000 0.000
Er1 0.724 0.511 0.271
Ge1 0.363 0.252 0.142
I1 0.092 0.749 0.438
I2 0.629 0.769 0.821

# 2
For PmAgTeO, a GGA-PBE-relaxed structure gives the simulated X-ray powder pattern in this record (Cu Kα, 1.54184 Å).

Most intense lines, 10° ≤ 2θ ≤ 90°, sorted by position:
d/Å  2θ (°)  I_rel
3.178  28.08  100
2.807  31.88  49
2.583  34.72  56
2.520  35.62  54
2.069  43.75  53
1.984  45.73  19
1.892  48.09  23
1.734  52.79  35
1.615  57.02  27
1.432  65.14  25

Structural model:
Cell: 5.853 5.853 9.920 Å, 90.00 90.00 90.00°
Sites, in units of the cell vectors:
Pm1 0.000 0.000 0.000
Pm2 0.000 0.500 0.225
Pm3 0.500 0.000 0.225
Pm4 0.500 0.500 0.000
Ag1 0.245 0.244 0.613
Ag2 0.255 0.744 0.613
Ag3 0.745 0.256 0.613
Ag4 0.755 0.756 0.613
Te1 0.000 0.000 0.407
Te2 0.000 0.500 0.818
Te3 0.500 0.000 0.818
Te4 0.500 0.500 0.407
O1 0.250 0.249 0.113
O2 0.250 0.749 0.113
O3 0.750 0.251 0.113
O4 0.750 0.751 0.113

# 3
For GdHo3Pb2C2, a GGA-PBE-relaxed structure gives the simulated X-ray powder pattern in this record (Cu Kα, 1.54184 Å).

Most intense lines, 10° ≤ 2θ ≤ 90°, sorted by position:
d/Å  2θ (°)  I_rel
3.148  28.35  22
2.717  32.96  100
2.691  33.30  21
2.045  44.28  16
1.817  50.20  21
1.559  59.29  19
1.511  61.37  17
1.506  61.58  22
1.183  81.32  8
1.162  83.15  15

Structural model:
Cell: 3.635 3.635 16.146 Å, 90.00 90.00 120.00°
Sites, in units of the cell vectors:
Gd1 0.000 0.000 0.000
Ho1 0.000 0.000 0.665
Ho2 0.667 0.333 0.166
Ho3 0.667 0.333 0.501
Pb1 0.000 0.000 0.333
Pb2 0.667 0.333 0.832
C1 0.333 0.667 0.085
C2 0.333 0.667 0.583

# 4
For HfScAu4, a GGA-PBE-relaxed structure gives the simulated X-ray powder pattern in this record (Cu Kα, 1.54184 Å).

Most intense lines, 10° ≤ 2θ ≤ 90°, sorted by position:
d/Å  2θ (°)  I_rel
8.754  10.10  10
3.299  27.03  9
2.518  35.65  68
2.257  39.94  100
1.781  51.31  24
1.398  66.93  44
1.262  75.27  16
1.129  86.17  12
1.126  86.39  12
1.100  89.02  11

Structural model:
Cell: 3.562 3.562 8.754 Å, 90.00 90.00 90.00°
Sites, in units of the cell vectors:
Hf1 0.000 0.000 0.000
Sc1 0.500 0.500 0.500
Au1 0.000 0.000 0.335
Au2 0.000 0.000 0.665
Au3 0.500 0.500 0.165
Au4 0.500 0.500 0.835

# 5
For Zr4CuGeC2, a GGA-PBE-relaxed structure gives the simulated X-ray powder pattern in this record (Cu Kα, 1.54184 Å).

Most intense lines, 10° ≤ 2θ ≤ 90°, sorted by position:
d/Å  2θ (°)  I_rel
2.885  31.00  23
2.439  36.85  100
2.283  39.47  15
1.790  51.01  13
1.666  55.14  22
1.620  56.85  3
1.443  64.61  3
1.376  68.17  15
1.346  69.89  27
1.220  78.42  4

Structural model:
Cell: 3.331 3.331 13.699 Å, 90.00 90.00 120.00°
Sites, in units of the cell vectors:
Zr1 0.000 0.000 0.153
Zr2 0.000 0.000 0.847
Zr3 0.667 0.333 0.342
Zr4 0.667 0.333 0.658
Cu1 0.667 0.333 0.000
Ge1 0.000 0.000 0.500
C1 0.333 0.667 0.249
C2 0.333 0.667 0.751

# 6
For NbReBr6Cl4, a GGA-PBE-relaxed structure gives the simulated X-ray powder pattern in this record (Cu Kα, 1.54184 Å).

Most intense lines, 10° ≤ 2θ ≤ 90°, sorted by position:
d/Å  2θ (°)  I_rel
6.100  14.52  98
5.801  15.27  54
5.572  15.90  100
5.124  17.31  90
2.939  30.42  86
2.915  30.67  84
2.790  32.08  75
2.276  39.59  30
2.260  39.89  42
1.880  48.42  40

Structural model:
Cell: 6.472 7.019 9.742 Å, 108.41 91.80 114.19°
Sites, in units of the cell vectors:
Nb1 0.000 0.000 0.000
Re1 0.205 0.427 0.433
Br1 0.036 0.406 0.649
Br2 0.186 0.041 0.791
Br3 0.351 0.408 0.184
Br4 0.538 0.783 0.556
Br5 0.660 0.644 0.889
Br6 0.866 0.042 0.272
Cl1 0.220 0.849 0.078
Cl2 0.401 0.230 0.463
Cl3 0.812 0.215 0.984
Cl4 0.995 0.591 0.371

# 7
For Zn2GaCo, a GGA-PBE-relaxed structure gives the simulated X-ray powder pattern in this record (Cu Kα, 1.54184 Å).

Most intense lines, 10° ≤ 2θ ≤ 90°, sorted by position:
d/Å  2θ (°)  I_rel
2.280  39.52  34
2.105  42.97  100
2.005  45.22  74
1.547  59.76  19
1.371  68.41  13
1.291  73.31  7
1.216  78.70  10
1.196  80.27  12
1.149  84.24  14
1.101  88.92  22

Structural model:
Cell: 4.214 5.165 4.855 Å, 90.00 90.00 90.00°
Sites, in units of the cell vectors:
Zn1 0.250 0.003 0.151
Zn2 0.250 0.497 0.151
Zn3 0.750 0.503 0.849
Zn4 0.750 0.997 0.849
Ga1 0.250 0.750 0.622
Ga2 0.750 0.250 0.378
Co1 0.250 0.250 0.654
Co2 0.750 0.750 0.346

# 8
For Zn2Re2AsP3, a GGA-PBE-relaxed structure gives the simulated X-ray powder pattern in this record (Cu Kα, 1.54184 Å).

Most intense lines, 10° ≤ 2θ ≤ 90°, sorted by position:
d/Å  2θ (°)  I_rel
4.944  17.94  29
4.823  18.40  19
3.202  27.87  100
3.121  28.60  99
1.958  46.38  60
1.930  47.10  38
1.883  48.33  17
1.679  54.68  17
1.640  56.09  28
1.607  57.35  16

Structural model:
Cell: 6.549 6.549 5.511 Å, 112.96 112.96 50.39°
Sites, in units of the cell vectors:
Zn1 0.132 0.132 0.363
Zn2 0.868 0.868 0.637
Re1 0.350 0.392 0.118
Re2 0.608 0.650 0.882
As1 0.718 0.282 0.500
P1 0.256 0.744 0.000
P2 0.469 0.027 0.770
P3 0.973 0.531 0.230